Theoretical powder X-ray diffraction pattern
Compound: HoWBrO4
Radiation: copper Kα
Structure: DFT lattice parameters and positions (PBE+U)

Structure:
abc: 7.040 7.330 10.999
angles: 74.43 71.67 84.80
Space group P-1 (No. 2)
Unique sites:
1 Ho 0.061 0.095 0.270 x2
2 Ho 0.393 0.666 0.235 x2
3 W 0.136 0.419 0.624 x2
4 W 0.410 0.816 0.867 x2
5 Br 0.209 0.271 0.988 x2
6 Br 0.251 0.031 0.482 x2
7 O 0.032 0.614 0.695 x2
8 O 0.051 0.777 0.292 x2
9 O 0.206 0.891 0.799 x2
10 O 0.211 0.506 0.444 x2
11 O 0.310 0.741 0.044 x2
12 O 0.362 0.351 0.668 x2
13 O 0.404 0.989 0.194 x2
14 O 0.460 0.378 0.198 x2

Principal peaks in the range 10 to 90 degrees two-theta, by angle:
6.561 Å, I = 26.8, (1 0 1)
3.632 Å, I = 100.0, (0 2 1)
3.455 Å, I = 49.0, (1 0 3)
3.280 Å, I = 38.2, (2 0 2)
3.265 Å, I = 22.0, (2 1 1)
3.012 Å, I = 22.3, (2 -1 0)
2.968 Å, I = 33.0, (1 1 -2)
2.707 Å, I = 24.0, (-1 1 3)
2.557 Å, I = 17.5, (1 -2 2)
2.497 Å, I = 20.7, (2 2 3)